# ScReRu
Calculated powder diffractogram, a wavelength of 1.5418 Å. Input: DFT lattice parameters and positions (PBE).
No peak broadening, texture or thermal motion is included.

The 10 most intense peaks (2θ = 5–70°), in order of rising 2θ:
two_theta	intensity
20.3	100
21.3	20
39.2	30
40.7	35
41.0	67
41.2	71
43.4	52
48.7	26
54.9	15
63.9	18

Lattice parameters (Å, degrees): 5.221 5.221 5.221 121.55 116.47 91.78
Fractional coordinates of all 6 atoms:
Sc (0.373, 0.123, 0.250)
Sc (0.627, 0.877, 0.750)
Re (0.000, 0.000, 0.500)
Re (0.000, 0.500, 0.000)
Ru (0.000, 0.500, 0.500)
Ru (0.500, 0.500, 0.000)

---

# Cu2SiS3
Calculated powder diffractogram, a wavelength of 1.5418 Å. Input: DFT lattice parameters and positions (PBE).
No peak broadening, texture or thermal motion is included.

The 10 most intense peaks (2θ = 5–70°), in order of rising 2θ:
two_theta	intensity
28.0	100
29.4	61
31.5	30
31.7	29
31.8	29
49.5	72
53.2	24
53.6	24
53.9	23
58.5	14

Lattice parameters (Å, degrees): 6.380 6.380 7.070 116.21 116.21 59.88
Fractional coordinates of all 12 atoms:
Cu (0.080, 0.920, 0.500)
Cu (0.246, 0.420, 0.973)
Cu (0.420, 0.246, 0.473)
Cu (0.920, 0.080, 0.000)
Si (0.601, 0.767, 0.009)
Si (0.767, 0.601, 0.509)
S (0.113, 0.304, 0.599)
S (0.304, 0.113, 0.099)
S (0.480, 0.630, 0.631)
S (0.630, 0.480, 0.131)
S (0.787, 0.960, 0.626)
S (0.960, 0.787, 0.126)

---

# Mn4BeBr
Calculated powder diffractogram, a wavelength of 1.5418 Å. Input: DFT lattice parameters and positions (PBE).
No peak broadening, texture or thermal motion is included.

The 9 most intense peaks (2θ = 5–70°), in order of rising 2θ:
two_theta	intensity
22.5	32
26.0	20
37.2	19
43.9	100
45.9	49
53.6	7
58.8	7
60.5	6
67.0	7

Lattice parameters (Å, degrees): 4.839 4.839 4.839 60.00 60.00 60.00
Fractional coordinates of all 6 atoms:
Mn (0.376, 0.376, 0.376)
Mn (0.376, 0.376, 0.871)
Mn (0.376, 0.871, 0.376)
Mn (0.871, 0.376, 0.376)
Be (0.750, 0.750, 0.750)
Br (0.000, 0.000, 0.000)

---

# Li2AcCd9
Calculated powder diffractogram, a wavelength of 1.5418 Å. Input: DFT lattice parameters and positions (PBE).
No peak broadening, texture or thermal motion is included.

The 10 most intense peaks (2θ = 5–70°), in order of rising 2θ:
two_theta	intensity
10.6	12
21.2	11
28.2	33
32.2	14
33.9	100
37.1	64
51.2	24
54.8	14
64.9	23
67.3	21

Lattice parameters (Å, degrees): 9.681 9.681 3.401 90.00 90.00 120.00
Fractional coordinates of all 12 atoms:
Li (0.333, 0.667, 0.000)
Li (0.667, 0.333, 0.000)
Ac (0.000, 0.000, 0.000)
Cd (0.000, 0.500, 0.000)
Cd (0.187, 0.375, 0.500)
Cd (0.187, 0.813, 0.500)
Cd (0.375, 0.187, 0.500)
Cd (0.500, 0.000, 0.000)
Cd (0.500, 0.500, 0.000)
Cd (0.625, 0.813, 0.500)
Cd (0.813, 0.187, 0.500)
Cd (0.813, 0.625, 0.500)

---

# PmEr2IO8
Calculated powder diffractogram, a wavelength of 1.5418 Å. Input: DFT lattice parameters and positions (PBE).
No peak broadening, texture or thermal motion is included.

The 10 most intense peaks (2θ = 5–70°), in order of rising 2θ:
two_theta	intensity
25.1	100
31.5	92
35.8	26
48.4	69
51.4	9
51.6	8
58.1	17
59.6	18
61.6	20
65.7	11

Lattice parameters (Å, degrees): 5.019 5.019 6.897 90.00 90.00 90.13
Fractional coordinates of all 12 atoms:
Pm (0.000, 0.000, 0.000)
Er (0.500, 0.500, 0.248)
Er (0.500, 0.500, 0.752)
I (0.000, 0.000, 0.500)
O (0.184, 0.184, 0.297)
O (0.184, 0.184, 0.703)
O (0.268, 0.732, 0.500)
O (0.316, 0.684, 0.000)
O (0.684, 0.316, 0.000)
O (0.732, 0.268, 0.500)
O (0.816, 0.816, 0.297)
O (0.816, 0.816, 0.703)

---

# Ca3SnB2Pd9
Calculated powder diffractogram, a wavelength of 1.5418 Å. Input: DFT lattice parameters and positions (PBE).
No peak broadening, texture or thermal motion is included.

The 10 most intense peaks (2θ = 5–70°), in order of rising 2θ:
two_theta	intensity
9.7	11
19.9	45
29.3	18
34.3	15
36.6	86
39.4	23
40.5	100
46.5	24
62.6	15
63.2	31

Lattice parameters (Å, degrees): 5.884 5.884 9.138 90.00 90.00 120.00
Fractional coordinates of all 15 atoms:
Ca (0.000, 0.000, 0.000)
Ca (0.333, 0.667, 0.642)
Ca (0.667, 0.333, 0.358)
Sn (0.000, 0.000, 0.500)
B (0.333, 0.667, 0.142)
B (0.667, 0.333, 0.858)
Pd (0.000, 0.500, 0.000)
Pd (0.165, 0.330, 0.271)
Pd (0.165, 0.835, 0.271)
Pd (0.330, 0.165, 0.729)
Pd (0.500, 0.000, 0.000)
Pd (0.500, 0.500, 0.000)
Pd (0.670, 0.835, 0.271)
Pd (0.835, 0.165, 0.729)
Pd (0.835, 0.670, 0.729)

---

# CsLi2AgBr4
Calculated powder diffractogram, a wavelength of 1.5418 Å. Input: DFT lattice parameters and positions (PBE).
No peak broadening, texture or thermal motion is included.

The 10 most intense peaks (2θ = 5–70°), in order of rising 2θ:
two_theta	intensity
17.8	60
24.4	100
29.6	28
30.4	36
30.5	35
36.1	34
38.2	35
42.4	24
44.0	20
53.5	20

Lattice parameters (Å, degrees): 7.305 7.305 7.305 122.64 122.32 85.75
Fractional coordinates of all 8 atoms:
Cs (0.000, 0.000, 0.000)
Li (0.250, 0.750, 0.500)
Li (0.750, 0.250, 0.500)
Ag (0.500, 0.500, 0.000)
Br (0.124, 0.529, 0.998)
Br (0.469, 0.471, 0.595)
Br (0.531, 0.126, 0.002)
Br (0.876, 0.874, 0.405)

---

# CsRe3O6F10
Calculated powder diffractogram, a wavelength of 1.5418 Å. Input: DFT lattice parameters and positions (PBE).
No peak broadening, texture or thermal motion is included.

The 10 most intense peaks (2θ = 5–70°), in order of rising 2θ:
two_theta	intensity
15.0	35
15.7	24
20.9	79
21.5	100
21.7	79
22.1	86
23.9	21
24.1	69
24.5	48
26.1	36

Lattice parameters (Å, degrees): 7.389 10.151 10.753 114.52 90.54 92.37
Fractional coordinates of all 40 atoms:
Cs (0.190, 0.207, 0.121)
Cs (0.810, 0.793, 0.879)
Re (0.245, 0.485, 0.677)
Re (0.259, 0.726, 0.113)
Re (0.275, 0.872, 0.635)
Re (0.725, 0.128, 0.365)
Re (0.741, 0.274, 0.887)
Re (0.755, 0.515, 0.323)
O (0.243, 0.415, 0.503)
O (0.272, 0.833, 0.284)
O (0.297, 0.339, 0.709)
O (0.306, 0.558, 0.104)
O (0.337, 0.020, 0.605)
O (0.370, 0.733, 0.502)
O (0.630, 0.267, 0.498)
O (0.663, 0.980, 0.395)
O (0.694, 0.442, 0.896)
O (0.703, 0.661, 0.291)
O (0.728, 0.167, 0.716)
O (0.757, 0.585, 0.497)
F (0.005, 0.687, 0.095)
F (0.008, 0.527, 0.304)
F (0.040, 0.836, 0.556)
F (0.143, 0.967, 0.804)
F (0.178, 0.689, 0.690)
F (0.195, 0.878, 0.054)
F (0.229, 0.611, 0.888)
F (0.466, 0.890, 0.762)
F (0.479, 0.574, 0.709)
F (0.494, 0.768, 0.068)
F (0.506, 0.232, 0.932)
F (0.521, 0.426, 0.291)
F (0.534, 0.110, 0.238)
F (0.771, 0.389, 0.112)
F (0.805, 0.122, 0.946)
F (0.822, 0.311, 0.310)
F (0.857, 0.033, 0.196)
F (0.960, 0.164, 0.444)
F (0.992, 0.473, 0.696)
F (0.995, 0.313, 0.905)